No. 1
Starting from a PBE-relaxed structure, the XRD peak list of K5Bi4 was computed for copper Kα.

Peak list (6 most intense, 2θ = 10–90°, in order of rising 2θ)
- 2θ = 14.8°, rel. 35.0, (2 0 0)
- 2θ = 17.4°, rel. 100.0, (1 1 0)
- 2θ = 27.8°, rel. 33.6, (1 1 -3)
- 2θ = 30.9°, rel. 53.1, (3 1 1)
- 2θ = 31.1°, rel. 43.8, (3 1 -3)
- 2θ = 31.7°, rel. 35.9, (0 2 0)

Unit cell a=12.7806 b=5.6402 c=11.7153 alpha=90.00 beta=110.91 gamma=90.00
Space group C2/m (No. 12)
Unique sites:
K: 0.0000 0.0000 0.0000 [2 per cell]
K: 0.0947 0.0000 0.3862 [4 per cell]
K: 0.2439 0.0000 0.8345 [4 per cell]
Bi: 0.0444 0.5000 0.8305 [4 per cell]
Bi: 0.1097 0.5000 0.6078 [4 per cell]

***

No. 2
Starting from a PBE-relaxed structure, the XRD peak list of K3Bi was computed for copper Kα.

Peak list (6 most intense, 2θ = 10–90°, in order of rising 2θ)
- 2θ = 16.1°, rel. 44.2, (0 0 2)
- 2θ = 18.3°, rel. 100.0, (1 1 1)
- 2θ = 28.7°, rel. 88.3, (3 0 0)
- 2θ = 29.4°, rel. 98.6, (1 1 3)
- 2θ = 33.1°, rel. 50.0, (3 0 2)
- 2θ = 51.3°, rel. 37.3, (4 1 3)

Unit cell a=10.7757 b=10.7757 c=11.0436 alpha=90.00 beta=90.00 gamma=120.00
Space group P6_3cm (No. 185)
Unique sites:
K: 0.0000 0.0000 0.0000 [2 per cell]
K: 0.0000 0.3002 0.2814 [6 per cell]
K: 0.0000 0.3622 0.6181 [6 per cell]
K: 0.3333 0.6667 0.4234 [4 per cell]
Bi: 0.0000 0.3301 0.9497 [6 per cell]